Starting from the GGA-PBE geometry in Alexandria, the XRD peak list of Tl12Sn2Hg was calculated for Cu Kα X-rays.
Neutral-atom scattering factors, no anomalous dispersion.

Structure:
```
data_Tl12Sn2Hg
_chemical_formula_sum 'Tl24 Sn4 Hg2'
_space_group_name_H-M_alt 'P 1'
_space_group_IT_number 1
_space_group_name_Hall 'P 1'
_cell_length_a 6.499
_cell_length_b 6.499
_cell_length_c 24.341
_cell_angle_alpha 90.00
_cell_angle_beta 90.00
_cell_angle_gamma 90.00
loop_
_atom_site_label
_atom_site_type_symbol
_atom_site_fract_x
_atom_site_fract_y
_atom_site_fract_z
_atom_site_occupancy
Tl1 Tl 0.000 0.000 0.101 1
Tl2 Tl 0.000 0.000 0.899 1
Tl3 Tl 0.000 0.500 0.101 1
Tl4 Tl 0.000 0.500 0.899 1
Tl5 Tl 0.072 0.572 0.438 1
Tl6 Tl 0.072 0.928 0.562 1
Tl7 Tl 0.250 0.250 0.210 1
Tl8 Tl 0.250 0.250 0.339 1
Tl9 Tl 0.250 0.250 0.661 1
Tl10 Tl 0.250 0.250 0.790 1
Tl11 Tl 0.428 0.572 0.562 1
Tl12 Tl 0.428 0.928 0.438 1
Tl13 Tl 0.500 0.000 0.101 1
Tl14 Tl 0.500 0.000 0.899 1
Tl15 Tl 0.500 0.500 0.101 1
Tl16 Tl 0.500 0.500 0.899 1
Tl17 Tl 0.572 0.072 0.562 1
Tl18 Tl 0.572 0.428 0.438 1
Tl19 Tl 0.750 0.750 0.210 1
Tl20 Tl 0.750 0.750 0.339 1
Tl21 Tl 0.750 0.750 0.661 1
Tl22 Tl 0.750 0.750 0.790 1
Tl23 Tl 0.928 0.072 0.438 1
Tl24 Tl 0.928 0.428 0.562 1
Sn1 Sn 0.250 0.750 0.208 1
Sn2 Sn 0.250 0.750 0.792 1
Sn3 Sn 0.750 0.250 0.208 1
Sn4 Sn 0.750 0.250 0.792 1
Hg1 Hg 0.250 0.750 0.000 1
Hg2 Hg 0.750 0.250 0.000 1
```

Top 10 peaks for 10° ≤ 2θ ≤ 90°, in order of rising 2θ:
2θ/deg	intensity	hkl
20.66	39	1 1 2
28.43	59	2 0 2
31.21	32	2 0 4
32.29	20	1 1 7
33.14	100	0 0 9
35.39	63	2 0 6
39.21	55	2 2 0
52.24	36	2 2 9
64.15	27	2 0 15
67.23	30	4 0 9